This entry pairs a crystal structure of Tb7Dy2Er3 with its calculated powder diffraction line list. Radiation: Cu Ka. Structure: a GGA-PBE-relaxed structure.
Neutral-atom scattering factors, no anomalous dispersion.

Structural model:
abc: 5.748 3.559 18.580
angles: 90.00 93.67 90.00
Space group P2/m (No. 10)
Symmetry-distinct sites (fractional):
Tb1 0.000 0.000 0.000 x1
Tb2 0.182 0.500 0.180 x2
Tb3 0.258 0.500 0.536 x2
Tb4 0.321 0.000 0.856 x2
Dy1 0.294 0.500 0.704 x2
Er1 0.219 0.000 0.368 x2
Er2 0.500 0.500 0.000 x1

Largest 10 diffraction maxima, in order of rising 2θ, 15° ≤ 2θ ≤ 90°:
(0 0 6), d 3.090, intensity 32
(1 1 -2), d 2.904, intensity 27
(2 0 -1), d 2.864, intensity 64
(1 1 2), d 2.847, intensity 100
(0 1 4), d 2.823, intensity 33
(1 0 -6), d 2.795, intensity 45
(1 1 -3), d 2.753, intensity 27
(1 0 6), d 2.650, intensity 36
(1 1 -4), d 2.573, intensity 34
(0 2 0), d 1.780, intensity 21

This entry pairs a crystal structure of Tb4Dy3Er8 with its calculated powder diffraction line list. Radiation: Cu Ka. Structure: a GGA-PBE-relaxed structure.
Neutral-atom scattering factors, no anomalous dispersion.

Structural model:
abc: 6.8665 6.8665 34.9066
angles: 90.00 90.00 120.00
Space group R-3m (No. 166, hexagonal axes)
Symmetry-distinct sites (fractional):
Tb1 0.0000 0.0000 0.0000 x3
Tb2 0.0000 0.0000 0.1636 x6
Tb3 0.0000 0.0000 0.5000 x3
Dy1 0.0000 0.5000 0.0000 x9
Er1 0.0000 0.0000 0.2549 x6
Er2 0.0016 0.5008 0.2504 x18

Largest 10 diffraction maxima, in order of rising 2θ, 15° ≤ 2θ ≤ 90°:
(1 1 3), d 3.293, intensity 16
(0 2 1), d 2.959, intensity 26
(0 0 12), d 2.909, intensity 56
(0 2 4), d 2.814, intensity 100
(2 0 8), d 2.457, intensity 73
(0 2 16), d 1.759, intensity 23
(2 2 0), d 1.717, intensity 37
(2 0 20), d 1.505, intensity 16
(2 2 12), d 1.478, intensity 44
(2 2 24), d 1.110, intensity 18

This entry pairs a crystal structure of Tb2Dy9Er3 with its calculated powder diffraction line list. Radiation: Cu Ka. Structure: a GGA-PBE-relaxed structure.
Neutral-atom scattering factors, no anomalous dispersion.

Structural model:
abc: 6.170 8.666 8.701
angles: 79.47 77.36 87.49
Space group P-1 (No. 2)
Symmetry-distinct sites (fractional):
Tb1 0.048 0.032 0.299 x2
Dy1 0.010 0.753 0.081 x2
Dy2 0.153 0.333 0.506 x2
Dy3 0.309 0.384 0.102 x2
Dy4 0.412 0.687 0.304 x2
Dy5 0.500 0.000 0.500 x1
Er1 0.249 0.620 0.725 x2
Er2 0.500 0.000 0.000 x1

Largest 10 diffraction maxima, in order of rising 2θ, 15° ≤ 2θ ≤ 90°:
(0 3 0), d 2.843, intensity 99
(2 -1 0), d 2.835, intensity 42
(1 1 -2), d 2.822, intensity 100
(2 -1 1), d 2.809, intensity 44
(1 1 3), d 2.778, intensity 77
(-1 2 2), d 2.698, intensity 67
(1 -2 2), d 2.643, intensity 47
(2 2 1), d 2.564, intensity 56
(2 -4 0), d 1.736, intensity 25
(-3 3 2), d 1.487, intensity 25

This entry pairs a crystal structure of Tb7Dy2Er3 with its calculated powder diffraction line list. Radiation: Cu Ka. Structure: a GGA-PBE-relaxed structure.
Neutral-atom scattering factors, no anomalous dispersion.

Structural model:
abc: 7.088 9.989 21.191
angles: 90.00 90.00 90.00
Space group Fmmm (No. 69)
Symmetry-distinct sites (fractional):
Tb1 0.000 0.000 0.000 x4
Tb2 0.250 0.250 0.084 x16
Tb3 0.250 0.250 0.250 x8
Dy1 0.000 0.000 0.333 x8
Er1 0.000 0.000 0.167 x8
Er2 0.000 0.000 0.500 x4

Largest 10 diffraction maxima, in order of rising 2θ, 15° ≤ 2θ ≤ 90°:
(2 2 0), d 2.887, intensity 100
(2 0 6), d 2.500, intensity 51
(4 0 0), d 1.772, intensity 6
(2 4 6), d 1.767, intensity 30
(4 2 6), d 1.510, intensity 14
(2 6 0), d 1.507, intensity 28
(4 4 0), d 1.445, intensity 6
(0 4 12), d 1.442, intensity 6
(2 6 12), d 1.146, intensity 9
(2 8 6), d 1.117, intensity 8

This entry pairs a crystal structure of Tb7Dy2Er with its calculated powder diffraction line list. Radiation: Cu Ka. Structure: a GGA-PBE-relaxed structure.
Neutral-atom scattering factors, no anomalous dispersion.

Structural model:
abc: 5.426 6.995 16.699
angles: 90.00 90.00 90.00
Space group Immm (No. 71)
Symmetry-distinct sites (fractional):
Tb1 0.000 0.000 0.000 x2
Tb2 0.000 0.250 0.391 x8
Tb3 0.000 0.500 0.199 x4
Dy1 0.000 0.000 0.199 x4
Er1 0.000 0.500 0.000 x2

Largest 10 diffraction maxima, in order of rising 2θ, 15° ≤ 2θ ≤ 90°:
(1 2 1), d 2.895, intensity 88
(1 0 5), d 2.844, intensity 100
(2 0 0), d 2.713, intensity 45
(0 2 4), d 2.681, intensity 41
(0 2 6), d 2.178, intensity 16
(2 2 4), d 1.907, intensity 30
(3 0 5), d 1.590, intensity 18
(1 2 9), d 1.569, intensity 17
(1 4 5), d 1.490, intensity 28
(3 4 5), d 1.177, intensity 16

This entry pairs a crystal structure of Tb2Dy3Er4 with its calculated powder diffraction line list. Radiation: Cu Ka. Structure: a GGA-PBE-relaxed structure.
Neutral-atom scattering factors, no anomalous dispersion.

Structural model:
abc: 16.110 11.462 6.063
angles: 90.00 96.00 90.00
Space group C2/c (No. 15)
Symmetry-distinct sites (fractional):
Tb1 0.122 0.143 0.321 x8
Dy1 0.000 0.097 0.750 x4
Dy2 0.166 0.403 0.589 x8
Er1 0.046 0.359 0.014 x8
Er2 0.214 0.140 0.848 x8

Largest 10 diffraction maxima, in order of rising 2θ, 15° ≤ 2θ ≤ 90°:
(3 3 0), d 3.107, intensity 13
(1 1 -2), d 2.921, intensity 58
(0 4 0), d 2.866, intensity 100
(4 2 1), d 2.785, intensity 93
(1 3 -2), d 2.370, intensity 31
(5 3 -1), d 2.340, intensity 26
(3 1 3), d 1.797, intensity 13
(9 1 0), d 1.759, intensity 11
(6 2 -3), d 1.624, intensity 20
(3 7 0), d 1.565, intensity 13

What did the fourth record say?
This entry pairs a crystal structure of Tb7Dy2Er3 with its calculated powder diffraction line list. Radiation: Cu Ka. Structure: a GGA-PBE-relaxed structure.
Neutral-atom scattering factors, no anomalous dispersion.

Structural model:
abc: 7.088 9.989 21.191
angles: 90.00 90.00 90.00
Space group Fmmm (No. 69)
Symmetry-distinct sites (fractional):
Tb1 0.000 0.000 0.000 x4
Tb2 0.250 0.250 0.084 x16
Tb3 0.250 0.250 0.250 x8
Dy1 0.000 0.000 0.333 x8
Er1 0.000 0.000 0.167 x8
Er2 0.000 0.000 0.500 x4

Largest 10 diffraction maxima, in order of rising 2θ, 15° ≤ 2θ ≤ 90°:
(2 2 0), d 2.887, intensity 100
(2 0 6), d 2.500, intensity 51
(4 0 0), d 1.772, intensity 6
(2 4 6), d 1.767, intensity 30
(4 2 6), d 1.510, intensity 14
(2 6 0), d 1.507, intensity 28
(4 4 0), d 1.445, intensity 6
(0 4 12), d 1.442, intensity 6
(2 6 12), d 1.146, intensity 9
(2 8 6), d 1.117, intensity 8